[1]
This entry pairs a crystal structure of ZnGa3Tc with its calculated powder XRD pattern. Radiation: Cu Kα X-rays. Structure: the PBE geometry in Alexandria.
No peak broadening, texture or thermal motion is included.

Most intense lines, 10° ≤ 2θ ≤ 90°, low angle first:
19.91°, 4.458 Å, intensity 15
25.51°, 3.492 Å, intensity 18
32.57°, 2.749 Å, intensity 18
36.69°, 2.449 Å, intensity 14
38.68°, 2.328 Å, intensity 16
40.46°, 2.229 Å, intensity 34
40.64°, 2.220 Å, intensity 100
41.80°, 2.161 Å, intensity 23
43.87°, 2.064 Å, intensity 28
46.71°, 1.945 Å, intensity 26

Structural model:
```
10
Lattice="2.7514 -4.4584 0.0000 2.7514 4.4584 0.0000 -0.0135 0.0000 6.9844" Properties=species:S:1:pos:R:3 pbc="T T T"
Zn 0.0000 0.0000 0.0000
Zn 2.7514 0.0000 0.0000
Ga 1.3665 1.9377 5.6934
Ga 1.3689 0.0000 3.2029
Ga 1.3665 -1.9377 5.6934
Ga 4.1229 1.9377 1.2910
Ga 4.1205 0.0000 3.7815
Ga 4.1229 -1.9377 1.2910
Tc 2.7447 2.2289 3.4922
Tc 2.7447 -2.2289 3.4922
```

=====

[2]
This entry pairs a crystal structure of Cs2TeAsCl6 with its calculated powder XRD pattern. Radiation: Cu Kα X-rays. Structure: the PBE geometry in Alexandria.
No peak broadening, texture or thermal motion is included.

Most intense lines, 10° ≤ 2θ ≤ 90°, low angle first:
22.57°, 3.940 Å, intensity 54
23.16°, 3.841 Å, intensity 100
28.22°, 3.162 Å, intensity 30
32.13°, 2.786 Å, intensity 63
33.81°, 2.651 Å, intensity 28
39.98°, 2.255 Å, intensity 46
41.04°, 2.199 Å, intensity 23
46.08°, 1.970 Å, intensity 21
47.33°, 1.920 Å, intensity 40
58.36°, 1.581 Å, intensity 20

Structural model:
```
10
Lattice="-3.9397 3.9397 5.3023 3.9397 -3.9397 5.3023 3.9397 3.9397 -5.3023" Properties=species:S:1:pos:R:3 pbc="T T T"
Cs 3.9397 0.0000 2.6511
Cs 0.0000 3.9397 2.6511
Te 0.0000 0.0000 0.0000
As 0.0000 0.0000 5.3023
Cl 0.0000 0.0000 2.7245
Cl 2.1560 2.1560 0.0000
Cl 1.7836 -1.7836 5.3023
Cl -1.7836 1.7836 5.3023
Cl 1.7836 1.7836 5.3023
Cl 0.0000 0.0000 7.8800
```

=====

[3]
This entry pairs a crystal structure of Sr2Ca2PuN4 with its calculated powder XRD pattern. Radiation: Cu Kα X-rays. Structure: the PBE geometry in Alexandria.
No peak broadening, texture or thermal motion is included.

Most intense lines, 10° ≤ 2θ ≤ 90°, low angle first:
14.06°, 6.300 Å, intensity 100
14.31°, 6.190 Å, intensity 36
22.96°, 3.873 Å, intensity 59
25.36°, 3.512 Å, intensity 60
28.85°, 3.095 Å, intensity 56
30.50°, 2.931 Å, intensity 98
36.26°, 2.477 Å, intensity 72
38.47°, 2.340 Å, intensity 69
39.32°, 2.291 Å, intensity 34
46.19°, 1.965 Å, intensity 44

Structural model:
```
9
Lattice="7.6470 -1.8165 0.0000 7.6470 1.8165 0.0000 -3.0770 0.0000 6.3001" Properties=species:S:1:pos:R:3 pbc="T T T"
Sr 1.3812 0.0000 1.9307
Sr 10.8358 0.0000 4.3694
Ca 4.6623 0.0000 0.9437
Ca 7.5547 0.0000 5.3564
Pu -1.5385 0.0000 3.1500
N 1.2695 0.0000 4.7118
N 5.3267 0.0000 4.2392
N 6.8903 0.0000 2.0609
N 10.9476 0.0000 1.5883
```

=====

[4]
This entry pairs a crystal structure of HgAsAu with its calculated powder XRD pattern. Radiation: Cu Kα X-rays. Structure: the PBE geometry in Alexandria.
No peak broadening, texture or thermal motion is included.

Most intense lines, 10° ≤ 2θ ≤ 90°, low angle first:
29.69°, 3.009 Å, intensity 52
30.29°, 2.950 Å, intensity 43
32.16°, 2.784 Å, intensity 100
33.63°, 2.665 Å, intensity 60
34.89°, 2.572 Å, intensity 50
40.97°, 2.203 Å, intensity 37
46.31°, 1.961 Å, intensity 27
47.00°, 1.933 Å, intensity 39
47.49°, 1.914 Å, intensity 21
48.70°, 1.870 Å, intensity 22

Structural model:
```
12
Lattice="0.0000 5.2479 8.1087 3.1675 0.0000 8.1087 3.1675 5.2479 0.0000" Properties=species:S:1:pos:R:3 pbc="T T T"
Hg 2.3756 3.9360 1.1031
Hg 3.9594 6.5599 5.1575
Hg 2.3756 3.9360 11.0599
Hg 3.9594 6.5599 15.1143
As 4.2519 3.9360 6.0815
As 5.8357 6.5599 10.1359
As 0.4993 3.9360 6.0815
As 2.0831 6.5599 10.1359
Au 3.1675 2.6240 4.0543
Au 1.5837 5.2479 4.0543
Au 1.5837 2.6240 8.1087
Au 3.1675 5.2479 8.1087
```

=====

[5]
This entry pairs a crystal structure of SmLu with its calculated powder XRD pattern. Radiation: Cu Kα X-rays. Structure: the PBE geometry in Alexandria.
No peak broadening, texture or thermal motion is included.

Most intense lines, 10° ≤ 2θ ≤ 90°, low angle first:
30.95°, 2.889 Å, intensity 100
35.81°, 2.507 Å, intensity 34
36.04°, 2.492 Å, intensity 17
51.72°, 1.768 Å, intensity 24
61.35°, 1.511 Å, intensity 29
61.65°, 1.505 Å, intensity 14
64.45°, 1.446 Å, intensity 6
64.56°, 1.444 Å, intensity 6
84.45°, 1.147 Å, intensity 12
86.99°, 1.120 Å, intensity 8

Structural model:
```
4
Lattice="3.5500 0.0000 0.0000 0.0000 4.9845 0.0000 0.0000 0.0000 7.0834" Properties=species:S:1:pos:R:3 pbc="T T T"
Sm 0.8875 1.2461 0.8998
Sm 2.6625 3.7384 6.1837
Lu 0.8875 1.2461 4.4020
Lu 2.6625 3.7384 2.6815
```

=====

[6]
This entry pairs a crystal structure of LaTbNd4 with its calculated powder XRD pattern. Radiation: Cu Kα X-rays. Structure: the PBE geometry in Alexandria.
No peak broadening, texture or thermal motion is included.

Most intense lines, 10° ≤ 2θ ≤ 90°, low angle first:
29.79°, 2.999 Å, intensity 100
34.46°, 2.603 Å, intensity 34
34.67°, 2.587 Å, intensity 17
49.53°, 1.840 Å, intensity 12
49.69°, 1.835 Å, intensity 24
58.83°, 1.570 Å, intensity 7
58.89°, 1.568 Å, intensity 22
59.13°, 1.562 Å, intensity 11
61.83°, 1.501 Å, intensity 9
80.65°, 1.191 Å, intensity 9

Structural model:
```
6
Lattice="6.0880 -1.8419 0.0000 6.0880 1.8419 0.0000 -4.3783 0.0000 9.3783" Properties=species:S:1:pos:R:3 pbc="T T T"
La 0.0000 0.0000 0.0000
Tb -2.1892 0.0000 4.6891
Nd 1.1496 0.0000 6.2240
Nd 3.3220 0.0000 1.5929
Nd 4.4758 0.0000 7.7854
Nd 6.6482 0.0000 3.1543
```

=====

[7]
This entry pairs a crystal structure of Li2CuGe3Pt4 with its calculated powder XRD pattern. Radiation: Cu Kα X-rays. Structure: the PBE geometry in Alexandria.
No peak broadening, texture or thermal motion is included.

Most intense lines, 10° ≤ 2θ ≤ 90°, low angle first:
15.84°, 5.596 Å, intensity 36
23.88°, 3.726 Å, intensity 79
33.05°, 2.710 Å, intensity 31
35.94°, 2.499 Å, intensity 56
45.93°, 1.976 Å, intensity 100
46.64°, 1.947 Å, intensity 18
48.86°, 1.864 Å, intensity 18
52.44°, 1.745 Å, intensity 26
69.31°, 1.356 Å, intensity 17
85.07°, 1.140 Å, intensity 22

Structural model:
```
10
Lattice="3.9491 0.0000 0.0000 0.0000 3.9491 0.0000 0.0000 0.0000 11.1924" Properties=species:S:1:pos:R:3 pbc="T T T"
Li 0.0000 1.9746 2.4652
Li 1.9746 0.0000 8.7272
Cu 1.9746 1.9746 0.0000
Ge 0.0000 0.0000 0.0000
Ge 0.0000 1.9746 7.1766
Ge 1.9746 0.0000 4.0157
Pt 0.0000 0.0000 5.5962
Pt 0.0000 1.9746 9.5706
Pt 1.9746 0.0000 1.6218
Pt 1.9746 1.9746 5.5962
```

=====

[8]
This entry pairs a crystal structure of CaBP2Cl with its calculated powder XRD pattern. Radiation: Cu Kα X-rays. Structure: the PBE geometry in Alexandria.
No peak broadening, texture or thermal motion is included.

Most intense lines, 10° ≤ 2θ ≤ 90°, low angle first:
29.92°, 2.987 Å, intensity 51
35.20°, 2.549 Å, intensity 100
45.51°, 1.993 Å, intensity 28
55.42°, 1.658 Å, intensity 29
56.59°, 1.626 Å, intensity 22
66.32°, 1.409 Å, intensity 8
74.43°, 1.275 Å, intensity 12
77.36°, 1.233 Å, intensity 17
80.34°, 1.195 Å, intensity 10
88.99°, 1.100 Å, intensity 6

Structural model:
```
5
Lattice="3.9866 0.0000 0.0000 0.0000 3.9866 0.0000 0.0000 0.0000 5.9732" Properties=species:S:1:pos:R:3 pbc="T T T"
Ca 0.0000 0.0000 0.0000
B 1.9933 1.9933 2.9866
P 0.0000 1.9933 2.9866
P 1.9933 0.0000 2.9866
Cl 1.9933 1.9933 0.0000
```

=====

[9]
This entry pairs a crystal structure of NdAl3Ni2 with its calculated powder XRD pattern. Radiation: Cu Kα X-rays. Structure: the PBE geometry in Alexandria.
No peak broadening, texture or thermal motion is included.

Most intense lines, 10° ≤ 2θ ≤ 90°, low angle first:
22.54°, 3.945 Å, intensity 45
28.71°, 3.109 Å, intensity 26
28.94°, 3.086 Å, intensity 48
33.90°, 2.644 Å, intensity 100
35.61°, 2.521 Å, intensity 56
39.44°, 2.285 Å, intensity 35
42.15°, 2.144 Å, intensity 24
50.05°, 1.823 Å, intensity 20
57.40°, 1.605 Å, intensity 22
57.86°, 1.594 Å, intensity 19

Structural model:
```
12
Lattice="5.0347 -3.9101 0.0000 5.0347 3.9101 0.0000 0.0000 0.0000 5.1279" Properties=species:S:1:pos:R:3 pbc="T T T"
Nd 5.0347 2.6872 3.8459
Nd 5.0347 -2.6872 1.2820
Al 3.0710 2.1833 1.2820
Al 6.9985 2.1833 1.2820
Al 5.0347 0.4559 1.2820
Al 5.0347 -0.4559 3.8459
Al 3.0710 -2.1833 3.8459
Al 6.9985 -2.1833 3.8459
Ni 3.0064 0.0000 0.0000
Ni 3.0064 0.0000 2.5640
Ni 7.0630 0.0000 0.0000
Ni 7.0630 0.0000 2.5640
```

=====

[10]
This entry pairs a crystal structure of Ca3Ga2Ge4O14 with its calculated powder XRD pattern. Radiation: Cu Kα X-rays. Structure: the PBE geometry in Alexandria.
No peak broadening, texture or thermal motion is included.

Most intense lines, 10° ≤ 2θ ≤ 90°, low angle first:
17.63°, 5.030 Å, intensity 39
21.81°, 4.076 Å, intensity 55
27.92°, 3.195 Å, intensity 100
28.48°, 3.134 Å, intensity 37
30.58°, 2.923 Å, intensity 72
30.95°, 2.890 Å, intensity 50
31.41°, 2.848 Å, intensity 29
37.75°, 2.383 Å, intensity 68
37.90°, 2.374 Å, intensity 45
38.65°, 2.330 Å, intensity 38

Structural model:
```
23
Lattice="7.0259 -4.1307 0.0000 7.0259 4.1307 0.0000 -0.1206 0.0000 5.0304" Properties=species:S:1:pos:R:3 pbc="T T T"
Ca 0.0000 0.0000 0.0000
Ca 3.9007 -0.9656 5.0278
Ca 10.0304 -0.9656 0.0027
Ga 5.3513 1.7711 2.5987
Ga 8.5798 1.7711 2.4318
Ge 2.3157 0.7587 2.3512
Ge 7.0259 0.7537 0.0000
Ge 6.9656 -1.2822 2.5152
Ge 11.6155 0.7587 2.6793
O 2.2322 0.7274 4.0751
O 3.7344 1.5061 1.5974
O 6.5000 2.1630 1.1917
O 2.1367 -0.7980 1.5031
O 7.4311 2.1630 3.8387
O 5.3934 0.4783 3.9402
O 6.0327 -0.5163 1.2319
O 10.1967 1.5061 3.4330
O 8.5377 0.4783 1.0903
O 7.8984 -0.5163 3.7985
O 5.9462 -2.4519 3.4592
O 11.6989 0.7274 0.9553
O 7.9850 -2.4519 1.5713
O 11.7945 -0.7980 3.5273
```

=====

[11]
This entry pairs a crystal structure of La8Ce2Y with its calculated powder XRD pattern. Radiation: Cu Kα X-rays. Structure: the PBE geometry in Alexandria.
No peak broadening, texture or thermal motion is included.

Most intense lines, 10° ≤ 2θ ≤ 90°, low angle first:
28.99°, 3.080 Å, intensity 31
31.13°, 2.873 Å, intensity 100
31.45°, 2.845 Å, intensity 36
31.67°, 2.825 Å, intensity 15
32.33°, 2.769 Å, intensity 13
33.03°, 2.712 Å, intensity 15
50.99°, 1.791 Å, intensity 13
55.80°, 1.648 Å, intensity 19
61.14°, 1.516 Å, intensity 14
61.76°, 1.502 Å, intensity 14

Structural model:
```
11
Lattice="-2.8445 4.2146 8.1368 2.8445 -4.2146 8.1368 2.8445 4.2146 -8.1368" Properties=species:S:1:pos:R:3 pbc="T T T"
La 0.0000 0.0000 2.5449
La 2.8445 2.5168 -2.3004
La 0.0000 2.5257 0.0000
La 2.8445 2.5168 2.3004
La 0.0000 1.6978 5.8365
La 0.0000 5.9035 0.0000
La 0.0000 1.6978 10.4372
La 0.0000 0.0000 13.7287
Ce 2.8445 0.0000 4.8661
Ce 0.0000 4.2146 3.2707
Y 2.8445 0.0000 0.0000
```

=====

[12]
This entry pairs a crystal structure of Dy3Ge with its calculated powder XRD pattern. Radiation: Cu Kα X-rays. Structure: the PBE geometry in Alexandria.
No peak broadening, texture or thermal motion is included.

Most intense lines, 10° ≤ 2θ ≤ 90°, low angle first:
25.21°, 3.533 Å, intensity 83
32.70°, 2.739 Å, intensity 61
33.84°, 2.649 Å, intensity 100
35.88°, 2.503 Å, intensity 33
39.88°, 2.260 Å, intensity 36
45.30°, 2.002 Å, intensity 37
52.54°, 1.742 Å, intensity 23
56.98°, 1.616 Å, intensity 25
59.07°, 1.564 Å, intensity 60
76.26°, 1.249 Å, intensity 19

Structural model:
```
4
Lattice="4.0040 0.0000 0.0000 0.0000 4.0040 0.0000 0.0000 0.0000 7.5079" Properties=species:S:1:pos:R:3 pbc="T T T"
Dy 0.0000 0.0000 0.0000
Dy 0.0000 2.0020 4.8537
Dy 2.0020 0.0000 2.6543
Ge 2.0020 2.0020 0.0000
```